This entry pairs a crystal structure of Y3VH3O8 with its computed powder X-ray diffraction pattern. Radiation: Cu Kα, 1.54184 Å. Structure: DFT lattice parameters and positions (PBE+U).

Cell and atoms:
a b c (Å): 5.609 10.444 5.951
angles (deg): 90.00 105.20 90.00
Space group P2_1/m (No. 11)
One atom of each set of equivalent atoms:
Y1 0.185 0.039 0.306 x4
Y2 0.273 0.250 0.796 x2
V1 0.310 0.750 0.542 x2
H1 0.103 0.750 0.912 x2
H2 0.342 0.547 0.913 x4
O1 0.038 0.630 0.459 x4
O2 0.077 0.250 0.109 x2
O3 0.228 0.020 0.937 x4
O4 0.421 0.750 0.845 x2
O5 0.496 0.625 0.407 x4

Top 8 peaks for 2θ from 10° to 90°, in order of rising 2θ:
(0 0 1), 2θ 15.43, I 31.6; (1 1 0), 2θ 18.46, I 31.8; (1 2 -1), 2θ 25.86, I 82.9; (1 2 1), 2θ 30.71, I 100.0; (1 0 -2), 2θ 31.19, I 35.3; (1 1 -2), 2θ 32.34, I 52.9; (0 4 0), 2θ 34.35, I 31.8; (2 2 -3), 2θ 53.80, I 38.0